(1)
Diffraction record for Ca11Rh2N10. The XRD peak list is calculated, not measured: it uses a structure optimized by DFT (GGA-PBE) and copper Kα.
Neutral-atom scattering factors, no anomalous dispersion.

The 10 most intense peaks (2θ from 5° to 70°), by intensity:
Position (°2θ)  I/Imax  hkl
32.57  100  3 2 1
11.92  36  2 0 0
30.69  36  5 1 0
35.34  29  3 3 1
40.84  27  5 2 1
51.16  27  7 2 1
13.33  24  2 1 0
25.58  24  1 1 1
49.41  22  0 0 2
34.15  20  4 4 0

Crystal structure
```
data_Ca11Rh2N10
_cell_length_a 14.8538
_cell_length_b 14.8538
_cell_length_c 3.6904
_cell_angle_alpha 90.00
_cell_angle_beta 90.00
_cell_angle_gamma 90.00
_symmetry_space_group_name_H-M 'P 42/m n m'
_symmetry_Int_Tables_number 136
_symmetry_space_group_name_Hall '-P 4n 2n'
loop_
_atom_site_label
_atom_site_type_symbol
_atom_site_fract_x
_atom_site_fract_y
_atom_site_fract_z
Ca1 Ca 0.0000 0.0000 0.0000
Ca2 Ca 0.0272 0.2125 0.5000
Ca3 Ca 0.1070 0.6119 0.5000
Ca4 Ca 0.1988 0.8012 0.0000
Rh1 Rh 0.1983 0.1983 0.0000
N1 N 0.0346 0.6864 0.0000
N2 N 0.0739 0.9261 0.5000
N3 N 0.1101 0.1101 0.0000
N4 N 0.1332 0.8668 0.5000
```

=====

(2)
Diffraction record for Tb2C. The XRD peak list is calculated, not measured: it uses a structure optimized by DFT (GGA-PBE) and copper Kα.
Neutral-atom scattering factors, no anomalous dispersion.

The 10 most intense peaks (2θ from 5° to 70°), by intensity:
Position (°2θ)  I/Imax  hkl
30.15  100  0 1 2
34.54  76  1 0 4
28.72  32  0 0 6
50.56  28  1 1 0
59.19  26  1 1 6
48.72  23  0 1 8
60.00  15  2 0 2
62.68  13  0 2 4
14.25  12  0 0 3
57.54  10  1 0 10

Crystal structure
```
data_Tb2C
_cell_length_a 3.6102
_cell_length_b 3.6102
_cell_length_c 18.6525
_cell_angle_alpha 90.00
_cell_angle_beta 90.00
_cell_angle_gamma 120.00
_symmetry_space_group_name_H-M 'R -3 m'
_symmetry_Int_Tables_number 166
_symmetry_space_group_name_Hall '-R 3 2"'
loop_
_atom_site_label
_atom_site_type_symbol
_atom_site_fract_x
_atom_site_fract_y
_atom_site_fract_z
Tb1 Tb 0.0000 0.0000 0.2395
C1 C 0.0000 0.0000 0.5000
```

=====

(3)
Diffraction record for LaMgAu2. The XRD peak list is calculated, not measured: it uses a structure optimized by DFT (GGA-PBE) and copper Kα.
Neutral-atom scattering factors, no anomalous dispersion.

The 10 most intense peaks (2θ from 5° to 70°), by intensity:
Position (°2θ)  I/Imax  hkl
35.21  100  2 2 0
63.18  37  4 2 2
24.70  21  2 0 0
50.65  18  4 0 0
21.35  9  1 1 1
57.14  9  4 2 0
43.48  7  2 2 2
41.54  5  3 1 1
55.56  2  3 3 1
67.51  2  5 1 1

Crystal structure
```
data_LaMgAu2
_cell_length_a 7.2095
_cell_length_b 7.2095
_cell_length_c 7.2095
_cell_angle_alpha 90.00
_cell_angle_beta 90.00
_cell_angle_gamma 90.00
_symmetry_space_group_name_H-M 'F m -3 m'
_symmetry_Int_Tables_number 225
_symmetry_space_group_name_Hall '-F 4 2 3'
loop_
_atom_site_label
_atom_site_type_symbol
_atom_site_fract_x
_atom_site_fract_y
_atom_site_fract_z
La1 La 0.0000 0.0000 0.0000
Mg1 Mg 0.0000 0.0000 0.5000
Au1 Au 0.2500 0.2500 0.2500
```

=====

(4)
Diffraction record for MnGeIr. The XRD peak list is calculated, not measured: it uses a structure optimized by DFT (GGA-PBE) and copper Kα.
Neutral-atom scattering factors, no anomalous dispersion.

The 10 most intense peaks (2θ from 5° to 70°), by intensity:
Position (°2θ)  I/Imax  hkl
42.91  100  0 1 3
36.92  76  2 1 0
38.91  75  2 1 1
29.29  74  1 1 1
45.60  69  0 2 0
18.69  67  1 0 1
36.10  67  1 1 2
45.86  56  3 0 1
45.48  42  1 1 3
66.67  37  3 2 1

Crystal structure
```
data_MnGeIr
_cell_length_a 6.1567
_cell_length_b 3.9786
_cell_length_c 7.4560
_cell_angle_alpha 90.00
_cell_angle_beta 90.00
_cell_angle_gamma 90.00
_symmetry_space_group_name_H-M 'P n m a'
_symmetry_Int_Tables_number 62
_symmetry_space_group_name_Hall '-P 2ac 2n'
loop_
_atom_site_label
_atom_site_type_symbol
_atom_site_fract_x
_atom_site_fract_y
_atom_site_fract_z
Mn1 Mn 0.0314 0.2500 0.1856
Ge1 Ge 0.2379 0.7500 0.3782
Ir1 Ir 0.1643 0.2500 0.5619
```

=====

(5)
Diffraction record for K2AgIrF6. The XRD peak list is calculated, not measured: it uses a structure optimized by DFT (GGA-PBE) and copper Kα.
Neutral-atom scattering factors, no anomalous dispersion.

The 10 most intense peaks (2θ from 5° to 70°), by intensity:
Position (°2θ)  I/Imax  hkl
28.60  100  2 2 0
20.12  66  2 0 0
50.65  39  4 2 2
40.89  38  4 0 0
45.97  30  4 2 0
59.20  23  4 4 0
67.05  18  6 2 0
17.40  15  1 1 1
63.19  14  6 0 0
33.67  6  3 1 1

Crystal structure
```
data_K2AgIrF6
_cell_length_a 8.8286
_cell_length_b 8.8286
_cell_length_c 8.8286
_cell_angle_alpha 90.00
_cell_angle_beta 90.00
_cell_angle_gamma 90.00
_symmetry_space_group_name_H-M 'F m -3 m'
_symmetry_Int_Tables_number 225
_symmetry_space_group_name_Hall '-F 4 2 3'
loop_
_atom_site_label
_atom_site_type_symbol
_atom_site_fract_x
_atom_site_fract_y
_atom_site_fract_z
K1 K 0.2500 0.2500 0.2500
Ag1 Ag 0.0000 0.0000 0.0000
Ir1 Ir 0.0000 0.0000 0.5000
F1 F 0.0000 0.0000 0.2688
```

=====

(6)
Diffraction record for Y6NiI10. The XRD peak list is calculated, not measured: it uses a structure optimized by DFT (GGA-PBE) and copper Kα.
Neutral-atom scattering factors, no anomalous dispersion.

The 10 most intense peaks (2θ from 5° to 70°), by intensity:
Position (°2θ)  I/Imax  hkl
28.98  100  1 1 -3
28.30  96  2 0 1
29.06  96  1 -3 0
24.90  57  1 -2 2
41.17  35  1 3 1
41.62  34  0 4 -3
41.20  33  1 -1 4
41.40  33  -2 2 3
40.84  32  3 -3 1
40.71  31  3 1 -2

Crystal structure
```
data_Y6NiI10
_cell_length_a 7.7181
_cell_length_b 9.7047
_cell_length_c 9.7309
_cell_angle_alpha 107.34
_cell_angle_beta 97.03
_cell_angle_gamma 104.82
_symmetry_space_group_name_H-M 'P -1'
_symmetry_Int_Tables_number 2
_symmetry_space_group_name_Hall '-P 1'
loop_
_atom_site_label
_atom_site_type_symbol
_atom_site_fract_x
_atom_site_fract_y
_atom_site_fract_z
Y1 Y 0.0293 0.2182 0.4154
Y2 Y 0.1123 0.5392 0.2620
Y3 Y 0.3437 0.6228 0.6629
Ni1 Ni 0.0000 0.5000 0.5000
I1 I 0.0857 0.8723 0.3186
I2 I 0.2199 0.2397 0.1514
I3 I 0.2617 0.5890 0.9647
I4 I 0.3566 0.9549 0.7740
I5 I 0.4532 0.3152 0.5931
```

=====

Which formula does entry 5 have?
K2AgIrF6

=====

Copy entry 1 word for word.
Diffraction record for Ca11Rh2N10. The XRD peak list is calculated, not measured: it uses a structure optimized by DFT (GGA-PBE) and copper Kα.
Neutral-atom scattering factors, no anomalous dispersion.

The 10 most intense peaks (2θ from 5° to 70°), by intensity:
Position (°2θ)  I/Imax  hkl
32.57  100  3 2 1
11.92  36  2 0 0
30.69  36  5 1 0
35.34  29  3 3 1
40.84  27  5 2 1
51.16  27  7 2 1
13.33  24  2 1 0
25.58  24  1 1 1
49.41  22  0 0 2
34.15  20  4 4 0

Crystal structure
```
data_Ca11Rh2N10
_cell_length_a 14.8538
_cell_length_b 14.8538
_cell_length_c 3.6904
_cell_angle_alpha 90.00
_cell_angle_beta 90.00
_cell_angle_gamma 90.00
_symmetry_space_group_name_H-M 'P 42/m n m'
_symmetry_Int_Tables_number 136
_symmetry_space_group_name_Hall '-P 4n 2n'
loop_
_atom_site_label
_atom_site_type_symbol
_atom_site_fract_x
_atom_site_fract_y
_atom_site_fract_z
Ca1 Ca 0.0000 0.0000 0.0000
Ca2 Ca 0.0272 0.2125 0.5000
Ca3 Ca 0.1070 0.6119 0.5000
Ca4 Ca 0.1988 0.8012 0.0000
Rh1 Rh 0.1983 0.1983 0.0000
N1 N 0.0346 0.6864 0.0000
N2 N 0.0739 0.9261 0.5000
N3 N 0.1101 0.1101 0.0000
N4 N 0.1332 0.8668 0.5000
```